For Cs2Ni2PtS4, a crystal structure in OQMD, relaxed with GGA-PBE gives the computed powder diffraction line list in this record (λ = 1.5418 Å (Cu Kα)).
Lines closer than 0.1° are merged.

Largest 8 diffraction maxima, low angle first, 2θ from 10° to 80°:
12.0°, rel. 49.7; 16.8°, rel. 18.3; 24.9°, rel. 100.0; 29.9°, rel. 17.6; 33.9°, rel. 18.0; 34.5°, rel. 29.6; 34.7°, rel. 53.7; 51.2°, rel. 30.0

Structural model:
```
Cs2Ni2PtS4
1.0
0.000 5.291 7.359
2.986 0.000 7.359
2.986 5.291 0.000
Cs Ni Pt S
2 2 1 4
direct
0.159 0.159 0.841
0.841 0.841 0.159
0.000 0.000 0.500
0.500 0.500 0.000
0.500 0.500 0.500
0.226 0.577 0.423
0.423 0.774 0.226
0.577 0.226 0.774
0.774 0.423 0.577
```